For SmGa2O4, a cell relaxed with GGA-PBE gives the computed powder diffraction line list in this record (a wavelength of 1.5418 Å).

Structure:
```
SmGa2O4
1.0
4.5300 -3.7309 0.0000
4.5300 3.7309 0.0000
-3.0333 0.0000 6.1130
Sm Ga O
2 4 8
Cartesian
1.6376 0.0000 0.6312
4.3891 0.0000 5.4819
3.0133 2.6203 3.0565
4.5300 0.5655 0.0000
1.9254 -1.9621 3.6855
4.1013 -1.9621 2.4275
-0.6355 -0.0499 1.6217
1.5279 1.6768 2.3585
-0.0080 1.4703 5.6148
4.4987 1.6768 3.7545
6.0347 1.4703 0.4982
3.7348 -0.6189 1.1866
2.2918 -0.6189 4.9264
6.6622 -0.0499 4.4913
```

Top 6 peaks for 2θ from 10° to 80°, in order of rising 2θ:
3.585 Å, 24.8°, I = 62
3.185 Å, 28.0°, I = 100
3.096 Å, 28.8°, I = 51
2.847 Å, 31.4°, I = 43
2.799 Å, 32.0°, I = 57
2.546 Å, 35.2°, I = 48

For Cd2In2Ni3, a cell relaxed with GGA-PBE gives the computed powder diffraction line list in this record (a wavelength of 1.5418 Å).

Structure:
```
Cd2In2Ni3
1.0
3.8223 -2.2079 0.0000
3.8223 2.2079 0.0000
-2.5392 0.0000 7.1332
Cd In Ni
2 2 3
Cartesian
0.0034 0.0000 2.8049
5.1020 0.0000 4.3283
2.5502 0.0000 1.0667
2.5552 0.0000 6.0664
0.0000 0.0000 0.0000
0.0056 0.0000 5.5452
5.0998 0.0000 1.5880
```

Top 6 peaks for 2θ from 10° to 80°, in order of rising 2θ:
3.111 Å, 28.7°, I = 42
2.207 Å, 40.9°, I = 100
2.192 Å, 41.2°, I = 85
1.555 Å, 59.4°, I = 27
1.274 Å, 74.4°, I = 16
1.271 Å, 74.7°, I = 27

For AlPS4, a cell relaxed with GGA-PBE gives the computed powder diffraction line list in this record (a wavelength of 1.5418 Å).

Structure:
```
AlPS4
1.0
-2.8495 3.1564 5.1457
2.8495 -3.1564 5.1457
2.8495 3.1564 -5.1457
Al P S
1 1 4
Cartesian
0.0000 0.0000 0.0000
2.8495 0.0000 0.0000
1.5760 1.1550 -1.1495
4.1229 1.1550 1.1495
1.2735 2.0014 3.9962
-1.2735 2.0014 6.2952
```

Top 6 peaks for 2θ from 10° to 80°, in order of rising 2θ:
5.381 Å, 16.5°, I = 100
5.146 Å, 17.2°, I = 29
3.268 Å, 27.3°, I = 76
2.115 Å, 42.8°, I = 14
1.910 Å, 47.6°, I = 15
1.670 Å, 55.0°, I = 14

Q: What is the formula in the third record?
A: AlPS4